1.
For Li4Mn3CoO8, a DFT-relaxed cell (GGA+U, the Materials Project) gives the calculated powder XRD pattern in this record (copper Kα).
Lines closer than 0.1° are merged.

Peak list (10 most intense, 10 to 90 degrees two-theta, by angle)
d_spacing, I (rel.), index
4.880, 100.0, 0 0 4
2.706, 22.3, 0 2 1
2.490, 12.2, 1 1 -1
2.471, 16.6, 1 -1 2
2.426, 8.7, 1 1 3
2.274, 35.6, 0 2 5
2.055, 24.9, 1 1 -5
2.036, 24.0, 1 -1 6
1.533, 8.2, 1 3 0
1.434, 9.7, 2 0 1

a b c (Å): 2.8681 5.4389 19.5796
angles (deg): 87.64 86.19 89.62
Space group P-1 (No. 2)
Inequivalent atoms, fractional coordinates:
Li (0.0723, 0.3159, 0.3765) (multiplicity 2)
Li (0.1896, 0.9397, 0.1258) (multiplicity 2)
Li (0.3108, 0.5601, 0.8742) (multiplicity 2)
Li (0.4214, 0.1839, 0.6217) (multiplicity 2)
Mn (0.1321, 0.6292, 0.2518) (multiplicity 2)
Mn (0.2490, 0.2499, 0.0000) (multiplicity 2)
Mn (0.3689, 0.8703, 0.7487) (multiplicity 2)
Co (0.0000, 0.0000, 0.5000) (multiplicity 1)
Co (0.5000, 0.5000, 0.5000) (multiplicity 1)
O (0.0646, 0.6564, 0.4434) (multiplicity 2)
O (0.1046, 0.9942, 0.3099) (multiplicity 2)
O (0.1571, 0.2669, 0.1929) (multiplicity 2)
O (0.2246, 0.6133, 0.0583) (multiplicity 2)
O (0.2766, 0.8872, 0.9416) (multiplicity 2)
O (0.3427, 0.2333, 0.8065) (multiplicity 2)
O (0.3935, 0.5086, 0.6901) (multiplicity 2)
O (0.4792, 0.8481, 0.5533) (multiplicity 2)


2.
For Li4MnCo2O7, a DFT-relaxed cell (GGA+U, the Materials Project) gives the calculated powder XRD pattern in this record (copper Kα).
Lines closer than 0.1° are merged.

Peak list (10 most intense, 10 to 90 degrees two-theta, by angle)
d_spacing, I (rel.), index
4.852, 100.0, 2 0 -1
2.571, 12.5, 0 0 7
2.477, 24.5, 1 1 3
2.145, 25.5, 2 0 -8
2.058, 52.7, 3 1 2
1.919, 7.6, 3 1 -5
1.593, 10.5, 5 1 1
1.485, 25.2, 5 1 -6
1.470, 7.1, 6 0 4
1.440, 8.4, 0 2 0

a b c (Å): 9.8105 2.8807 18.1374
angles (deg): 90.00 97.05 90.00
Space group Cm (No. 8)
Inequivalent atoms, fractional coordinates:
Li (0.0000, 0.0000, 0.0000) (multiplicity 2)
Li (0.0006, 0.0000, 0.5148) (multiplicity 2)
Li (0.0647, 0.5000, 0.6485) (multiplicity 2)
Li (0.1441, 0.0000, 0.7949) (multiplicity 2)
Li (0.2049, 0.5000, 0.9392) (multiplicity 2)
Li (0.2980, 0.0000, 0.0627) (multiplicity 2)
Li (0.3568, 0.5000, 0.2072) (multiplicity 2)
Li (0.4303, 0.0000, 0.3573) (multiplicity 2)
Mn (0.1458, 0.0000, 0.2845) (multiplicity 2)
Mn (0.2154, 0.5000, 0.4351) (multiplicity 2)
Co (0.0771, 0.5000, 0.1289) (multiplicity 2)
Co (0.2791, 0.0000, 0.5806) (multiplicity 2)
Co (0.3575, 0.5000, 0.7199) (multiplicity 2)
Co (0.4238, 0.0000, 0.8712) (multiplicity 2)
O (0.0177, 0.5000, 0.2597) (multiplicity 2)
O (0.0584, 0.0000, 0.8897) (multiplicity 2)
O (0.0913, 0.0000, 0.3915) (multiplicity 2)
O (0.1424, 0.5000, 0.5435) (multiplicity 2)
O (0.1469, 0.5000, 0.0433) (multiplicity 2)
O (0.2000, 0.0000, 0.1882) (multiplicity 2)
O (0.2318, 0.0000, 0.6885) (multiplicity 2)
O (0.2751, 0.5000, 0.3171) (multiplicity 2)
O (0.3014, 0.5000, 0.8146) (multiplicity 2)
O (0.3458, 0.0000, 0.4679) (multiplicity 2)
O (0.3543, 0.0000, 0.9573) (multiplicity 2)
O (0.4159, 0.5000, 0.6203) (multiplicity 2)
O (0.4418, 0.5000, 0.1129) (multiplicity 2)
O (0.4799, 0.0000, 0.7493) (multiplicity 2)


3.
For Li4MnCo2O7, a DFT-relaxed cell (GGA+U, the Materials Project) gives the calculated powder XRD pattern in this record (copper Kα).
Lines closer than 0.1° are merged.

Peak list (10 most intense, 10 to 90 degrees two-theta, by angle)
d_spacing, I (rel.), index
4.791, 100.0, 0 1 -1
2.587, 17.6, 2 -1 0
2.447, 23.8, 1 1 2
2.375, 7.8, -1 2 2
2.165, 32.0, 2 -2 1
2.027, 26.2, 1 2 1
2.023, 25.7, 1 0 -4
1.482, 15.5, 3 0 2
1.476, 15.0, 1 -4 0
1.420, 7.0, 0 2 5

a b c (Å): 5.2172 5.9194 8.5812
angles (deg): 91.73 94.04 109.66
Space group P-1 (No. 2)
Inequivalent atoms, fractional coordinates:
Li (0.0000, 0.0000, 0.0000) (multiplicity 1)
Li (0.0000, 0.5000, 0.0000) (multiplicity 1)
Li (0.1512, 0.2889, 0.2822) (multiplicity 2)
Li (0.2815, 0.5674, 0.5738) (multiplicity 2)
Li (0.4238, 0.8514, 0.8623) (multiplicity 2)
Mn (0.2854, 0.0710, 0.5750) (multiplicity 2)
Co (0.1422, 0.7842, 0.2828) (multiplicity 2)
Co (0.4245, 0.3563, 0.8591) (multiplicity 2)
O (0.0225, 0.7604, 0.4944) (multiplicity 2)
O (0.1539, 0.4969, 0.7914) (multiplicity 2)
O (0.1611, 0.0443, 0.7872) (multiplicity 2)
O (0.3028, 0.7961, 0.0907) (multiplicity 2)
O (0.3210, 0.3342, 0.0623) (multiplicity 2)
O (0.4037, 0.0917, 0.3611) (multiplicity 2)
O (0.4510, 0.6159, 0.3471) (multiplicity 2)


4.
For Li7Mn2Co3O12, a DFT-relaxed cell (GGA+U, the Materials Project) gives the calculated powder XRD pattern in this record (copper Kα).
Lines closer than 0.1° are merged.

Peak list (10 most intense, 10 to 90 degrees two-theta, by angle)
d_spacing, I (rel.), index
4.838, 100.0, 0 1 -1
2.503, 26.7, -2 1 2
2.466, 12.5, 0 2 1
2.087, 58.7, 2 0 -3
2.050, 27.9, 0 3 0
1.480, 7.8, 0 1 -4
1.473, 7.8, 2 -4 1
1.470, 15.4, -4 1 2
1.456, 7.5, -2 3 3
1.452, 7.2, 2 2 1

a b c (Å): 5.8834 6.5225 6.6107
angles (deg): 96.62 116.41 103.24
Space group P-1 (No. 2)
Inequivalent atoms, fractional coordinates:
Li (0.0000, 0.0000, 0.0000) (multiplicity 1)
Li (0.2424, 0.6735, 0.1636) (multiplicity 2)
Li (0.2438, 0.3244, 0.8360) (multiplicity 2)
Li (0.2465, 0.9991, 0.4951) (multiplicity 2)
Mn (0.0020, 0.6674, 0.6711) (multiplicity 2)
Co (0.4845, 0.3208, 0.3234) (multiplicity 2)
Co (0.5000, 0.0000, 0.0000) (multiplicity 1)
O (0.1168, 0.6519, 0.4300) (multiplicity 2)
O (0.1269, 0.3404, 0.1096) (multiplicity 2)
O (0.1338, 0.9784, 0.7545) (multiplicity 2)
O (0.3531, 0.3458, 0.5644) (multiplicity 2)
O (0.3582, 0.6694, 0.9026) (multiplicity 2)
O (0.3908, 0.0174, 0.2524) (multiplicity 2)


5.
For Li3MnCoO5, a DFT-relaxed cell (GGA+U, the Materials Project) gives the calculated powder XRD pattern in this record (copper Kα).
Lines closer than 0.1° are merged.

Peak list (10 most intense, 10 to 90 degrees two-theta, by angle)
d_spacing, I (rel.), index
6.272, 7.9, 0 0 1
4.843, 100.0, 0 1 -1
2.507, 26.3, 2 -1 0
2.457, 11.7, 1 1 1
2.098, 30.0, 1 0 -3
2.084, 29.9, 2 -2 1
2.044, 28.2, 1 2 0
1.481, 8.1, 1 -2 4
1.479, 7.8, 2 2 -3
1.476, 7.9, -3 2 2

a b c (Å): 5.0905 5.8649 6.6366
angles (deg): 103.91 98.06 107.31
Space group P-1 (No. 2)
Inequivalent atoms, fractional coordinates:
Li (0.0000, 0.0000, 0.0000) (multiplicity 1)
Li (0.0000, 0.5000, 0.0000) (multiplicity 1)
Li (0.1924, 0.3990, 0.3972) (multiplicity 2)
Li (0.3899, 0.8005, 0.8102) (multiplicity 2)
Mn (0.4005, 0.2990, 0.8046) (multiplicity 2)
Co (0.1960, 0.8900, 0.3889) (multiplicity 2)
O (0.1024, 0.4230, 0.6955) (multiplicity 2)
O (0.1087, 0.9708, 0.7040) (multiplicity 2)
O (0.3229, 0.8464, 0.1168) (multiplicity 2)
O (0.3258, 0.3659, 0.0883) (multiplicity 2)
O (0.4867, 0.2402, 0.5236) (multiplicity 2)


6.
For Li7Mn4CoO12, a DFT-relaxed cell (GGA+U, the Materials Project) gives the calculated powder XRD pattern in this record (copper Kα).
Lines closer than 0.1° are merged.

Peak list (10 most intense, 10 to 90 degrees two-theta, by angle)
d_spacing, I (rel.), index
6.575, 9.3, 0 1 1
4.855, 100.0, 0 0 4
2.586, 18.0, 1 1 0
2.471, 23.2, -1 2 1
2.172, 33.5, 1 1 4
2.052, 28.1, -1 2 5
2.043, 27.0, 0 3 -7
1.501, 8.4, 0 3 9
1.486, 8.4, 1 -2 11
1.482, 8.1, -2 1 1

a b c (Å): 2.9698 7.6680 19.7623
angles (deg): 99.86 92.53 98.71
Space group P-1 (No. 2)
Inequivalent atoms, fractional coordinates:
Li (0.0544, 0.4699, 0.1278) (multiplicity 2)
Li (0.1202, 0.3778, 0.3767) (multiplicity 2)
Li (0.1865, 0.2768, 0.6293) (multiplicity 2)
Li (0.2499, 0.7500, 0.2500) (multiplicity 2)
Li (0.3147, 0.2228, 0.8705) (multiplicity 2)
Li (0.3801, 0.1235, 0.1234) (multiplicity 2)
Li (0.4411, 0.0291, 0.3727) (multiplicity 2)
Mn (0.0782, 0.9248, 0.7479) (multiplicity 2)
Mn (0.1556, 0.8322, 0.0012) (multiplicity 2)
Mn (0.3374, 0.6690, 0.4987) (multiplicity 2)
Mn (0.4227, 0.5753, 0.7519) (multiplicity 2)
Co (0.0000, 0.0000, 0.5000) (multiplicity 1)
Co (0.5000, 0.5000, 0.0000) (multiplicity 1)
O (0.0003, 0.2809, 0.1972) (multiplicity 2)
O (0.0201, 0.1787, 0.4440) (multiplicity 2)
O (0.0903, 0.6489, 0.0590) (multiplicity 2)
O (0.1315, 0.0882, 0.6911) (multiplicity 2)
O (0.1391, 0.5371, 0.3039) (multiplicity 2)
O (0.1931, 0.0123, 0.9405) (multiplicity 2)
O (0.3119, 0.4887, 0.5596) (multiplicity 2)
O (0.3606, 0.9631, 0.1962) (multiplicity 2)
O (0.3690, 0.8517, 0.4411) (multiplicity 2)
O (0.3715, 0.4124, 0.8090) (multiplicity 2)
O (0.4858, 0.3185, 0.0574) (multiplicity 2)
O (0.4996, 0.2190, 0.3031) (multiplicity 2)


7.
For Li7Mn4CoO12, a DFT-relaxed cell (GGA+U, the Materials Project) gives the calculated powder XRD pattern in this record (copper Kα).
Lines closer than 0.1° are merged.

Peak list (10 most intense, 10 to 90 degrees two-theta, by angle)
d_spacing, I (rel.), index
6.432, 9.2, 1 1 0
4.830, 100.0, 2 0 0
2.587, 16.5, 0 0 2
2.471, 23.6, 1 3 -1
2.164, 33.8, 2 0 2
2.046, 56.1, 3 3 -1
1.922, 9.6, 3 3 1
1.581, 9.6, 5 3 -1
1.487, 32.6, 1 3 -3
1.437, 11.8, 0 6 0

a b c (Å): 9.7457 8.6216 5.2206
angles (deg): 90.00 97.62 90.00
Space group C2 (No. 5)
Inequivalent atoms, fractional coordinates:
Li (0.0000, 0.0000, 0.0000) (multiplicity 2)
Li (0.2403, 0.0011, 0.7599) (multiplicity 4)
Li (0.2469, 0.8380, 0.2424) (multiplicity 4)
Li (0.2484, 0.1691, 0.2397) (multiplicity 4)
Mn (0.0000, 0.1675, 0.5000) (multiplicity 2)
Mn (0.0000, 0.3337, 0.0000) (multiplicity 2)
Mn (0.0000, 0.5029, 0.5000) (multiplicity 2)
Mn (0.0000, 0.6765, 0.0000) (multiplicity 2)
Co (0.0000, 0.8422, 0.5000) (multiplicity 2)
O (0.1047, 0.6727, 0.3551) (multiplicity 4)
O (0.1079, 0.1770, 0.8482) (multiplicity 4)
O (0.1155, 0.0046, 0.3976) (multiplicity 4)
O (0.1174, 0.3355, 0.3933) (multiplicity 4)
O (0.1172, 0.5056, 0.8937) (multiplicity 4)
O (0.1190, 0.8231, 0.8789) (multiplicity 4)


8.
For Li7Mn2Co3O12, a DFT-relaxed cell (GGA+U, the Materials Project) gives the calculated powder XRD pattern in this record (copper Kα).
Lines closer than 0.1° are merged.

Peak list (10 most intense, 10 to 90 degrees two-theta, by angle)
d_spacing, I (rel.), index
7.364, 7.7, 0 0 1
4.783, 100.0, 1 0 0
2.532, 14.4, 1 2 2
2.463, 14.2, 0 2 -1
2.455, 11.6, 0 0 3
2.116, 29.2, 2 2 2
2.041, 26.4, 1 -2 1
2.034, 25.9, 1 0 -3
1.902, 8.7, 2 0 3
1.469, 21.9, 1 4 1

a b c (Å): 5.1338 5.8760 7.6756
angles (deg): 77.65 75.98 71.57
Space group P-1 (No. 2)
Inequivalent atoms, fractional coordinates:
Li (0.0000, 0.0000, 0.0000) (multiplicity 1)
Li (0.0000, 0.5000, 0.0000) (multiplicity 1)
Li (0.0010, 0.3340, 0.6566) (multiplicity 2)
Li (0.0036, 0.8289, 0.6573) (multiplicity 2)
Li (0.5000, 0.5000, 0.5000) (multiplicity 1)
Mn (0.4969, 0.6620, 0.8291) (multiplicity 2)
Co (0.5000, 0.0000, 0.5000) (multiplicity 1)
Co (0.5001, 0.1670, 0.8299) (multiplicity 2)
O (0.2528, 0.9733, 0.7526) (multiplicity 2)
O (0.2607, 0.3314, 0.4001) (multiplicity 2)
O (0.2654, 0.6478, 0.0751) (multiplicity 2)
O (0.2839, 0.8454, 0.4038) (multiplicity 2)
O (0.2855, 0.4910, 0.7612) (multiplicity 2)
O (0.3008, 0.1640, 0.0802) (multiplicity 2)


Please write out number 4 again, unchanged.
For Li7Mn2Co3O12, a DFT-relaxed cell (GGA+U, the Materials Project) gives the calculated powder XRD pattern in this record (copper Kα).
Lines closer than 0.1° are merged.

Peak list (10 most intense, 10 to 90 degrees two-theta, by angle)
d_spacing, I (rel.), index
4.838, 100.0, 0 1 -1
2.503, 26.7, -2 1 2
2.466, 12.5, 0 2 1
2.087, 58.7, 2 0 -3
2.050, 27.9, 0 3 0
1.480, 7.8, 0 1 -4
1.473, 7.8, 2 -4 1
1.470, 15.4, -4 1 2
1.456, 7.5, -2 3 3
1.452, 7.2, 2 2 1

a b c (Å): 5.8834 6.5225 6.6107
angles (deg): 96.62 116.41 103.24
Space group P-1 (No. 2)
Inequivalent atoms, fractional coordinates:
Li (0.0000, 0.0000, 0.0000) (multiplicity 1)
Li (0.2424, 0.6735, 0.1636) (multiplicity 2)
Li (0.2438, 0.3244, 0.8360) (multiplicity 2)
Li (0.2465, 0.9991, 0.4951) (multiplicity 2)
Mn (0.0020, 0.6674, 0.6711) (multiplicity 2)
Co (0.4845, 0.3208, 0.3234) (multiplicity 2)
Co (0.5000, 0.0000, 0.0000) (multiplicity 1)
O (0.1168, 0.6519, 0.4300) (multiplicity 2)
O (0.1269, 0.3404, 0.1096) (multiplicity 2)
O (0.1338, 0.9784, 0.7545) (multiplicity 2)
O (0.3531, 0.3458, 0.5644) (multiplicity 2)
O (0.3582, 0.6694, 0.9026) (multiplicity 2)
O (0.3908, 0.0174, 0.2524) (multiplicity 2)